This entry pairs a crystal structure of FeAgTe2 with its calculated X-ray powder pattern. Radiation: Cu Kα X-rays. Structure: a structure optimized by DFT (PBE).

```
data_FeAgTe2
_chemical_formula_sum 'Fe3 Ag3 Te6'
_cell_length_a 8.0193
_cell_length_b 8.0193
_cell_length_c 5.2011
_cell_angle_alpha 90.00
_cell_angle_beta 90.00
_cell_angle_gamma 120.00
_space_group_name_H-M_alt 'P -3 m 1'
_space_group_IT_number 164
_space_group_name_Hall '-P 3 2"'
loop_
_atom_site_label
_atom_site_type_symbol
_atom_site_fract_x
_atom_site_fract_y
_atom_site_fract_z
Fe1 Fe 0.0000 0.5000 0.0000
Ag1 Ag 0.0000 0.0000 0.5000
Ag2 Ag 0.3333 0.6667 0.6804
Te1 Te 0.1863 0.3726 0.2521
```

Top 12 peaks for 2θ = 10–90°, most intense first:
| index | 2θ/deg | I/Imax |
| --- | --- | --- |
| 0 2 1 | 30.96 | 100 |
| 2 2 0 | 45.23 | 35 |
| 2 0 2 | 43.48 | 33 |
| 1 1 1 | 28.10 | 15 |
| 4 0 1 | 55.82 | 14 |
| 0 3 1 | 42.75 | 12 |
| 1 0 1 | 21.34 | 11 |
| 0 2 3 | 59.60 | 10 |
| 2 1 0 | 34.16 | 8 |
| 2 4 1 | 74.57 | 8 |
| 0 4 2 | 64.54 | 8 |
| 4 2 2 | 82.29 | 7 |